The following is a simulated powder diffractogram of Tl2Cu2O7. It was derived from a DFT-relaxed cell (PBE, Alexandria), using λ = 1.5418 Å (Cu Kα).
Intensities are scaled so that the largest is 1000.

Structural model:
Cell lengths 7.120, 7.120, 7.120 Å; angles 60.00, 60.00, 60.00 degrees
Fractional coordinates of all 22 atoms:
Tl (0.000, 0.000, 0.000)
Tl (0.000, 0.000, 0.500)
Tl (0.000, 0.500, 0.000)
Tl (0.500, 0.000, 0.000)
Cu (0.000, 0.500, 0.500)
Cu (0.500, 0.000, 0.500)
Cu (0.500, 0.500, 0.000)
Cu (0.500, 0.500, 0.500)
O (0.125, 0.125, 0.125)
O (0.171, 0.171, 0.579)
O (0.171, 0.579, 0.171)
O (0.171, 0.579, 0.579)
O (0.421, 0.421, 0.829)
O (0.421, 0.829, 0.421)
O (0.421, 0.829, 0.829)
O (0.579, 0.171, 0.171)
O (0.579, 0.171, 0.579)
O (0.579, 0.579, 0.171)
O (0.829, 0.421, 0.421)
O (0.829, 0.421, 0.829)
O (0.829, 0.829, 0.421)
O (0.875, 0.875, 0.875)

Principal peaks in the range 2θ from 5° to 70°, low angle first:
2θ = 15.2°, I = 257
2θ = 29.4°, I = 145
2θ = 30.8°, I = 1000
2θ = 35.7°, I = 341
2θ = 39.0°, I = 159
2θ = 46.9°, I = 84
2θ = 51.3°, I = 453
2θ = 53.9°, I = 77
2θ = 61.0°, I = 424
2θ = 64.1°, I = 103